Theoretical PXRD pattern of MnNi3Te for a wavelength of 1.5418 Å, from the GGA-PBE geometry in Alexandria.
Intensities are scaled so that the largest is 100.

Crystal structure
```
MnNi3Te
1.0
4.6034 0.0000 0.0000
0.0000 4.6034 0.0000
0.0000 0.0000 4.6034
Mn Ni Te
1 3 1
direct
0.0000 0.0000 0.0000
0.0000 0.5000 0.5000
0.5000 0.0000 0.5000
0.5000 0.5000 0.0000
0.5000 0.5000 0.5000
```

The 10 most intense peaks (2θ from 5° to 70°), sorted by position:
2θ (°)  I/Imax  hkl
19.28  77  1 0 0
27.40  49  1 1 0
33.72  24  1 1 1
39.14  100  2 0 0
43.98  36  2 1 0
48.44  20  2 1 1
56.55  65  2 2 0
60.32  18  3 0 0
63.95  9  3 1 0
67.48  7  3 1 1